Diffraction record for KCdMo. The powder X-ray diffraction pattern is calculated, not measured: it uses the PBE geometry in Alexandria and λ = 1.5418 Å (Cu Kα).
Kinematic intensities with the Lorentz-polarization factor, no thermal factor.

Structural model:
```
data_KCdMo
_chemical_formula_sum 'K2 Cd2 Mo2'
_cell_length_a 2.7626
_cell_length_b 4.8454
_cell_length_c 12.2924
_cell_angle_alpha 90.00
_cell_angle_beta 90.00
_cell_angle_gamma 90.00
_symmetry_space_group_name_H-M 'I m m 2'
_symmetry_Int_Tables_number 44
loop_
_symmetry_equiv_pos_as_xyz
'x,y,z'
'-x,-y,z'
'-x,y,z'
'x,-y,z'
'x+1/2,y+1/2,z+1/2'
'-x+1/2,-y+1/2,z+1/2'
'-x+1/2,y+1/2,z+1/2'
'x+1/2,-y+1/2,z+1/2'
loop_
_atom_site_label
_atom_site_fract_x
_atom_site_fract_y
_atom_site_fract_z
K1 0.0000 0.0000 0.0000
Cd1 0.0000 0.0000 0.2854
Mo1 0.0000 0.0000 0.7184
```

Most intense lines, 2θ from 15° to 90°, in order of falling intensity:
37.47°, d 2.400, I = 100.0, (1 1 0)
28.53°, d 3.129, I = 92.1, (0 1 3)
40.34°, d 2.236, I = 60.5, (1 1 2)
29.06°, d 3.073, I = 52.6, (0 0 4)
37.11°, d 2.423, I = 51.4, (0 2 0)
48.11°, d 1.891, I = 48.9, (1 1 4)
39.33°, d 2.291, I = 37.5, (1 0 3)
75.16°, d 1.264, I = 33.7, (1 2 7)